Computed powder X-ray diffraction pattern
Compound: SrMgH4
Radiation: copper Kα
Structure: a DFT-relaxed cell (PBE, the Materials Project)
No peak broadening, texture or thermal motion is included.

```
data_SrMgH4
_chemical_formula_sum 'Sr4 Mg4 H16'
_symmetry_space_group_name_H-M 'C m c 21'
_symmetry_Int_Tables_number 36
_cell_length_a 3.9539
_cell_length_b 13.5441
_cell_length_c 5.6137
_cell_angle_alpha 90.00
_cell_angle_beta 90.00
_cell_angle_gamma 90.00
loop_
_symmetry_equiv_pos_as_xyz
'x,y,z'
'-x,-y,z+1/2'
'-x,y,z'
'x,-y,z+1/2'
'x+1/2,y+1/2,z'
'-x+1/2,-y+1/2,z+1/2'
'-x+1/2,y+1/2,z'
'x+1/2,-y+1/2,z+1/2'
loop_
_atom_site_label
_atom_site_type_symbol
_atom_site_fract_x
_atom_site_fract_y
_atom_site_fract_z
Sr1 Sr 0.0000 0.1513 0.0000
Mg1 Mg 0.0000 0.4152 0.0458
H1 H 0.0000 0.0746 0.5824
H2 H 0.0000 0.2997 0.2473
H3 H 0.0000 0.3343 0.7690
H4 H 0.0000 0.4614 0.3885
```

Most intense lines, 10 to 80 degrees two-theta, by angle:
2θ 20.55, d = 4.322 Å, I 58, (0 2 1)
2θ 26.32, d = 3.386 Å, I 30, (0 4 0)
2θ 28.39, d = 3.144 Å, I 100, (1 1 1)
2θ 30.04, d = 2.974 Å, I 41, (1 3 0)
2θ 30.84, d = 2.899 Å, I 33, (0 4 1)
2θ 31.88, d = 2.807 Å, I 31, (0 0 2)
2θ 34.11, d = 2.628 Å, I 20, (1 3 1)
2θ 41.80, d = 2.161 Å, I 16, (0 4 2)
2θ 43.59, d = 2.076 Å, I 27, (1 5 1)
2θ 44.37, d = 2.041 Å, I 31, (1 3 2)